Structure and calculated XRD peak list of Li3Fe2SbO6 (a structure optimized by DFT (PBE+U); Cu Ka).
Neutral-atom scattering factors, no anomalous dispersion.

Largest 10 diffraction maxima, sorted by position, 10 to 80 degrees two-theta:
| 2θ (°) | I (rel.) | hkl |
| --- | --- | --- |
| 17.5 | 100 | 2 0 -1 |
| 33.8 | 30 | 1 1 1 |
| 34.7 | 17 | 4 0 1 |
| 35.4 | 14 | 4 0 -2 |
| 35.7 | 14 | 3 1 0 |
| 40.7 | 48 | 1 1 -2 |
| 42.5 | 21 | 6 0 0 |
| 45.6 | 13 | 5 1 -1 |
| 60.3 | 12 | 5 1 2 |
| 60.4 | 13 | 7 1 -2 |

Atomic structure:
abc: 13.1324 3.1159 6.3073
angles: 90.00 103.74 90.00
Space group C2/m (No. 12)
Unique sites:
Li  0.0000  0.0000  0.0000 [2 per cell]
Li  0.1716  0.5000  0.3069 [4 per cell]
Fe  0.1724  0.5000  0.8596 [4 per cell]
Sb  0.0000  0.0000  0.5000 [2 per cell]
O  0.0064  0.5000  0.2856 [4 per cell]
O  0.1539  0.0000  0.5996 [4 per cell]
O  0.1594  0.0000  0.0766 [4 per cell]

***

Structure and calculated XRD peak list of Sr2VO4 (a structure optimized by DFT (PBE+U); Cu Ka).
Neutral-atom scattering factors, no anomalous dispersion.

Largest 10 diffraction maxima, sorted by position, 10 to 80 degrees two-theta:
| 2θ (°) | I (rel.) | hkl |
| --- | --- | --- |
| 26.2 | 15 | 2 1 2 |
| 29.3 | 24 | 4 1 0 |
| 30.3 | 100 | 0 1 3 |
| 30.6 | 68 | 4 1 1 |
| 36.5 | 19 | 4 0 3 |
| 38.9 | 11 | 6 0 1 |
| 43.6 | 25 | 4 2 2 |
| 48.1 | 14 | 4 2 3 |
| 53.7 | 13 | 0 3 3 |
| 54.5 | 12 | 8 0 2 |

Atomic structure:
abc: 14.2589 5.9043 10.2362
angles: 90.00 90.00 90.00
Space group Pna2_1 (No. 33)
Unique sites:
Sr  0.0497  0.2254  0.0000 [4 per cell]
Sr  0.1203  0.1902  0.6452 [4 per cell]
Sr  0.1300  0.7297  0.2232 [4 per cell]
Sr  0.2059  0.6932  0.8694 [4 per cell]
V  0.0274  0.2775  0.3536 [4 per cell]
V  0.2232  0.6958  0.5142 [4 per cell]
O  0.0115  0.0648  0.2305 [4 per cell]
O  0.0263  0.4641  0.7839 [4 per cell]
O  0.0474  0.7862  0.9960 [4 per cell]
O  0.1214  0.8582  0.4668 [4 per cell]
O  0.1388  0.3793  0.4182 [4 per cell]
O  0.1988  0.1331  0.8705 [4 per cell]
O  0.2081  0.4502  0.0755 [4 per cell]
O  0.2429  0.5053  0.6513 [4 per cell]

***

Structure and calculated XRD peak list of MgMnGe2O6 (a structure optimized by DFT (PBE+U); Cu Ka).
Neutral-atom scattering factors, no anomalous dispersion.

Largest 10 diffraction maxima, sorted by position, 10 to 80 degrees two-theta:
| 2θ (°) | I (rel.) | hkl |
| --- | --- | --- |
| 25.7 | 45 | 0 2 1 |
| 29.3 | 100 | 3 1 0 |
| 29.8 | 82 | 2 2 -1 |
| 33.6 | 85 | 2 2 1 |
| 34.1 | 68 | 1 3 -1 |
| 34.6 | 55 | 0 0 2 |
| 41.7 | 33 | 3 1 -2 |
| 56.0 | 29 | 5 3 -1 |
| 60.6 | 35 | 1 3 -3 |
| 61.8 | 40 | 5 3 1 |

Atomic structure:
abc: 9.8524 9.3017 5.2693
angles: 90.00 100.50 90.00
Space group C2/c (No. 15)
Unique sites:
Mg  0.0000  0.2279  0.2500 [4 per cell]
Mn  0.0000  0.4057  0.7500 [4 per cell]
Ge  0.1982  0.0932  0.7844 [8 per cell]
O  0.1152  0.2354  0.6110 [8 per cell]
O  0.1199  0.4032  0.1428 [8 per cell]
O  0.1409  0.0688  0.0945 [8 per cell]

***

Structure and calculated XRD peak list of Li4V3O4F8 (a structure optimized by DFT (PBE+U); Cu Ka).
Neutral-atom scattering factors, no anomalous dispersion.

Largest 10 diffraction maxima, sorted by position, 10 to 80 degrees two-theta:
| 2θ (°) | I (rel.) | hkl |
| --- | --- | --- |
| 13.9 | 84 | 0 0 1 |
| 19.1 | 100 | 1 0 -1 |
| 23.8 | 56 | 1 1 0 |
| 25.6 | 62 | 1 -1 1 |
| 29.6 | 53 | 1 0 -2 |
| 30.4 | 47 | 1 1 1 |
| 32.5 | 45 | 0 2 -1 |
| 38.5 | 28 | 2 -1 1 |
| 42.6 | 26 | 1 0 -3 |
| 53.1 | 31 | 1 3 0 |

Atomic structure:
abc: 5.6810 5.7652 6.5481
angles: 98.04 100.15 95.51
Space group P1 (No. 1)
Unique sites:
Li  0.0000  0.0000  0.0000 [1 per cell]
Li  0.1908  0.2811  0.6246 [1 per cell]
Li  0.4685  0.9676  0.7715 [1 per cell]
Li  0.7131  0.4614  0.8289 [1 per cell]
V  0.3158  0.6158  0.1523 [1 per cell]
V  0.6245  0.1924  0.2918 [1 per cell]
V  0.9114  0.7346  0.4915 [1 per cell]
O  0.1771  0.6824  0.4067 [1 per cell]
O  0.4245  0.9024  0.1502 [1 per cell]
O  0.6450  0.5320  0.2984 [1 per cell]
O  0.8545  0.0255  0.3690 [1 per cell]
F  0.1306  0.9835  0.7391 [1 per cell]
F  0.2437  0.2786  0.1715 [1 per cell]
F  0.3867  0.4946  0.8768 [1 per cell]
F  0.4908  0.1978  0.5507 [1 per cell]
F  0.6979  0.7899  0.6930 [1 per cell]
F  0.7157  0.1828  0.0019 [1 per cell]
F  0.9241  0.4419  0.6205 [1 per cell]
F  0.9934  0.6503  0.0141 [1 per cell]

***

Structure and calculated XRD peak list of Na2LiNi3O6 (a structure optimized by DFT (PBE+U); Cu Ka).
Neutral-atom scattering factors, no anomalous dispersion.

Largest 10 diffraction maxima, sorted by position, 10 to 80 degrees two-theta:
| 2θ (°) | I (rel.) | hkl |
| --- | --- | --- |
| 17.3 | 100 | 0 1 1 |
| 34.0 | 15 | 1 1 0 |
| 34.9 | 16 | 0 2 2 |
| 36.1 | 29 | 1 0 -1 |
| 37.3 | 22 | 0 2 -1 |
| 40.5 | 45 | 1 2 1 |
| 43.2 | 68 | 0 0 3 |
| 55.9 | 11 | 0 1 4 |
| 59.9 | 22 | 1 2 4 |
| 65.1 | 12 | 1 -2 3 |

Atomic structure:
abc: 3.0223 6.2028 6.7388
angles: 72.30 77.83 86.50
Space group P-1 (No. 2)
Unique sites:
Na  0.1652  0.3312  0.1690 [2 per cell]
Li  0.5000  0.0000  0.5000 [1 per cell]
Ni  0.1684  0.8371  0.1681 [2 per cell]
Ni  0.5000  0.5000  0.5000 [1 per cell]
O  0.0454  0.7412  0.4736 [2 per cell]
O  0.2956  0.9389  0.8570 [2 per cell]
O  0.3754  0.3926  0.8034 [2 per cell]